For Ac2As3Pd5, DFT lattice parameters and positions (GGA-PBE) gives the calculated X-ray powder pattern in this record (Cu Kα X-rays).
Peak positions follow from Bragg's law for the DFT cell and can differ from measured ones.

Crystal structure
a b c (Å): 8.7536 8.7536 8.7536
angles (deg): 109.47 86.66 136.46
Positions (direct):
Ac 0.1274 0.2467 0.3741
Ac 0.3726 0.7467 0.1193
Ac 0.6274 0.2533 0.8807
Ac 0.8726 0.7533 0.6259
As 0.1214 0.6345 0.7560
As 0.2500 0.2500 0.0000
As 0.3786 0.1345 0.5131
As 0.6214 0.8655 0.4869
As 0.7500 0.7500 0.0000
As 0.8786 0.3655 0.2440
Pd 0.0227 0.7500 0.2727
Pd 0.1187 0.8804 0.9990
Pd 0.2500 0.7500 0.5000
Pd 0.3813 0.3804 0.7617
Pd 0.4773 0.7500 0.7273
Pd 0.5227 0.2500 0.2727
Pd 0.6187 0.6196 0.2383
Pd 0.7500 0.2500 0.5000
Pd 0.8813 0.1196 0.0010
Pd 0.9773 0.2500 0.7273

Largest 12 diffraction maxima, most intense first, 2θ from 10° to 90°:
| d_spacing | 2θ/deg | I (rel.) |
| --- | --- | --- |
| 2.707 | 33.09 | 100 |
| 2.273 | 39.65 | 87 |
| 2.731 | 32.79 | 76 |
| 2.694 | 33.26 | 67 |
| 1.847 | 49.33 | 33 |
| 1.751 | 52.25 | 28 |
| 1.731 | 52.90 | 27 |
| 1.428 | 65.33 | 18 |
| 1.390 | 67.35 | 18 |
| 4.146 | 21.43 | 18 |
| 1.104 | 88.55 | 17 |
| 1.623 | 56.71 | 17 |